No. 1
This entry pairs a crystal structure of CeErCu10 with its theoretical powder diffractogram. Radiation: Cu Ka. Structure: a structure optimized by DFT (PBE).

Peak list (6 most intense, 2θ = 10–80°, in order of falling intensity)
42.1 deg, I = 100.0, hkl 1 1 3; 29.8 deg, I = 68.5, hkl 1 1 1; 41.9 deg, I = 50.7, hkl 1 2 0; 44.0 deg, I = 41.8, hkl 2 0 0; 41.2 deg, I = 34.6, hkl 0 2 2; 35.6 deg, I = 30.1, hkl 0 1 3

Atomic structure:
```
12
Lattice="4.112 0.000 0.000 0.000 5.067 0.000 0.000 0.000 8.711" Properties=species:S:1:pos:R:3 pbc="T T T"
Ce 0.000 0.000 0.000
Er 0.000 2.534 4.355
Cu 0.000 0.000 2.933
Cu 0.000 0.000 5.778
Cu 0.000 2.534 1.482
Cu 0.000 2.534 7.229
Cu 2.056 0.000 4.355
Cu 2.056 1.279 2.209
Cu 2.056 1.279 6.502
Cu 2.056 2.534 0.000
Cu 2.056 3.788 2.209
Cu 2.056 3.788 6.502
```

***

No. 2
This entry pairs a crystal structure of GeB2MoPb with its theoretical powder diffractogram. Radiation: Cu Ka. Structure: a structure optimized by DFT (PBE).

Peak list (6 most intense, 2θ = 10–80°, in order of falling intensity)
29.3 deg, I = 100.0, hkl 1 1 0; 20.6 deg, I = 92.5, hkl 1 0 0; 43.9 deg, I = 68.1, hkl 1 1 2; 26.1 deg, I = 66.7, hkl 1 0 1; 31.9 deg, I = 48.2, hkl 0 0 2; 42.0 deg, I = 45.2, hkl 2 0 0

Atomic structure:
```
5
Lattice="4.304 0.000 0.000 0.000 4.304 0.000 0.000 0.000 5.604" Properties=species:S:1:pos:R:3 pbc="T T T"
Ge 0.000 0.000 0.000
B 0.000 2.152 2.802
B 2.152 0.000 2.802
Mo 2.152 2.152 0.000
Pb 2.152 2.152 2.802
```